For KRbAgF6, a DFT-relaxed cell (PBE, Alexandria) gives the simulated powder X-ray diffraction pattern in this record (Cu Kα (weighted mean of Kα1 and Kα2)).
Lines closer than 0.1° are merged.

Crystal structure
Unit cell a=6.0935 b=6.0935 c=4.8784 alpha=90.82 beta=90.82 gamma=58.04
Sites, in units of the cell vectors:
K 0.0000 0.0000 0.0000
Rb 0.6534 0.6534 0.4495
Ag 0.3252 0.3252 0.7342
F 0.0101 0.4924 0.9588
F 0.1479 0.1479 0.5129
F 0.1579 0.6425 0.5129
F 0.4924 0.0101 0.9588
F 0.5000 0.5000 0.9597
F 0.6425 0.1579 0.5129

Most intense lines, 2θ = 15–90°, low angle first:
Position (°2θ), Rel. int.
17.15, 42
24.54, 52
25.20, 100
29.33, 65
38.78, 44
39.32, 69